[1]
# Ga4PdAu
Computed PXRD pattern, a wavelength of 1.5418 Å. Input: a structure optimized by DFT (GGA-PBE).

Top 6 peaks for 2θ from 10° to 90°, in order of falling intensity:
- 2θ 41.6, I = 1000
- 2θ 25.2, I = 981
- 2θ 42.3, I = 479
- 2θ 48.7, I = 168
- 2θ 75.4, I = 165
- 2θ 76.7, I = 160

Atomic structure:
Lattice parameters (Å, degrees): 7.4539 7.4539 7.4539 132.23 130.49 71.25
Sites, in units of the cell vectors:
Ga: 0.0000 0.2395 0.2395
Ga: 0.0000 0.7605 0.7605
Ga: 0.2632 0.0000 0.7632
Ga: 0.2632 0.5000 0.2632
Ga: 0.5000 0.2395 0.7395
Ga: 0.5000 0.7605 0.2605
Ga: 0.7368 0.0000 0.2368
Ga: 0.7368 0.5000 0.7368
Pd: 0.3742 0.1242 0.2500
Pd: 0.6258 0.8758 0.7500
Au: 0.1241 0.3741 0.7500
Au: 0.8759 0.6259 0.2500

[2]
# Ga4PdAu12
Computed PXRD pattern, a wavelength of 1.5418 Å. Input: a structure optimized by DFT (GGA-PBE).

Top 6 peaks for 2θ from 10° to 90°, in order of falling intensity:
- 2θ 31.8, I = 1000
- 2θ 37.8, I = 364
- 2θ 52.4, I = 314
- 2θ 71.9, I = 169
- 2θ 45.6, I = 149
- 2θ 50.2, I = 140

Atomic structure:
Lattice parameters (Å, degrees): 7.7126 7.7126 7.7126 109.47 109.47 109.47
Sites, in units of the cell vectors:
Ga: 0.0000 0.0000 0.5000
Ga: 0.0000 0.5000 0.0000
Ga: 0.5000 0.0000 0.0000
Ga: 0.5000 0.5000 0.5000
Pd: 0.0000 0.0000 0.0000
Au: 0.1544 0.3433 0.4977
Au: 0.1544 0.6567 0.8111
Au: 0.1889 0.8456 0.3433
Au: 0.3433 0.1889 0.8456
Au: 0.3433 0.4977 0.1544
Au: 0.4977 0.1544 0.3433
Au: 0.5023 0.8456 0.6567
Au: 0.6567 0.5023 0.8456
Au: 0.6567 0.8111 0.1544
Au: 0.8111 0.1544 0.6567
Au: 0.8456 0.3433 0.1889
Au: 0.8456 0.6567 0.5023

[3]
# PmGa2Pd5Au
Computed PXRD pattern, a wavelength of 1.5418 Å. Input: a structure optimized by DFT (GGA-PBE).

Top 6 peaks for 2θ from 10° to 90°, in order of falling intensity:
- 2θ 36.1, I = 1000
- 2θ 43.8, I = 413
- 2θ 75.5, I = 230
- 2θ 59.4, I = 142
- 2θ 28.7, I = 140
- 2θ 63.7, I = 134

Atomic structure:
Lattice parameters (Å, degrees): 4.1295 4.1295 9.4690 90.00 90.00 90.00
Sites, in units of the cell vectors:
Pm: 0.0000 0.0000 0.0000
Ga: 0.5000 0.5000 0.3729
Ga: 0.5000 0.5000 0.6271
Pd: 0.0000 0.5000 0.2275
Pd: 0.0000 0.5000 0.7725
Pd: 0.5000 0.0000 0.2275
Pd: 0.5000 0.0000 0.7725
Pd: 0.5000 0.5000 0.0000
Au: 0.0000 0.0000 0.5000

[4]
# Tl2Ga3PdAu12
Computed PXRD pattern, a wavelength of 1.5418 Å. Input: a structure optimized by DFT (GGA-PBE).

Top 6 peaks for 2θ from 10° to 90°, in order of falling intensity:
- 2θ 30.4, I = 1000
- 2θ 42.3, I = 672
- 2θ 44.8, I = 548
- 2θ 52.9, I = 212
- 2θ 79.0, I = 204
- 2θ 63.2, I = 193

Atomic structure:
Lattice parameters (Å, degrees): 8.1237 8.1237 8.1237 63.55 63.55 63.55
Sites, in units of the cell vectors:
Tl: 0.1175 0.1175 0.1175
Tl: 0.8825 0.8825 0.8825
Ga: 0.0000 0.5000 0.5000
Ga: 0.5000 0.0000 0.5000
Ga: 0.5000 0.5000 0.0000
Pd: 0.5000 0.5000 0.5000
Au: 0.1161 0.6387 0.6387
Au: 0.1281 0.1281 0.6204
Au: 0.1281 0.6204 0.1281
Au: 0.3613 0.3613 0.8839
Au: 0.3613 0.8839 0.3613
Au: 0.3796 0.8719 0.8719
Au: 0.6204 0.1281 0.1281
Au: 0.6387 0.1161 0.6387
Au: 0.6387 0.6387 0.1161
Au: 0.8719 0.3796 0.8719
Au: 0.8719 0.8719 0.3796
Au: 0.8839 0.3613 0.3613

[5]
# PmGa4Au12
Computed PXRD pattern, a wavelength of 1.5418 Å. Input: a structure optimized by DFT (GGA-PBE).

Top 6 peaks for 2θ from 10° to 90°, in order of falling intensity:
- 2θ 31.4, I = 1000
- 2θ 37.4, I = 388
- 2θ 51.8, I = 320
- 2θ 71.1, I = 171
- 2θ 49.6, I = 149
- 2θ 45.1, I = 133

Atomic structure:
Lattice parameters (Å, degrees): 7.7911 7.7911 7.7911 109.47 109.47 109.47
Sites, in units of the cell vectors:
Pm: 0.0000 0.0000 0.0000
Ga: 0.0000 0.0000 0.5000
Ga: 0.0000 0.5000 0.0000
Ga: 0.5000 0.0000 0.0000
Ga: 0.5000 0.5000 0.5000
Au: 0.1540 0.3428 0.4969
Au: 0.1540 0.6572 0.8112
Au: 0.1888 0.8460 0.3428
Au: 0.3428 0.1888 0.8460
Au: 0.3428 0.4969 0.1540
Au: 0.4969 0.1540 0.3428
Au: 0.5031 0.8460 0.6572
Au: 0.6572 0.5031 0.8460
Au: 0.6572 0.8112 0.1540
Au: 0.8112 0.1540 0.6572
Au: 0.8460 0.3428 0.1888
Au: 0.8460 0.6572 0.5031

[6]
# Pm6Ga3Au
Computed PXRD pattern, a wavelength of 1.5418 Å. Input: a structure optimized by DFT (GGA-PBE).

Top 6 peaks for 2θ from 10° to 90°, in order of falling intensity:
- 2θ 34.7, I = 1000
- 2θ 29.9, I = 987
- 2θ 35.9, I = 723
- 2θ 34.9, I = 482
- 2θ 63.0, I = 189
- 2θ 46.5, I = 187

Atomic structure:
Lattice parameters (Å, degrees): 8.9587 12.0808 5.1433 90.00 90.00 90.00
Sites, in units of the cell vectors:
Pm: 0.0014 0.2486 0.0000
Pm: 0.1657 0.0844 0.5000
Pm: 0.1708 0.4109 0.5000
Pm: 0.3292 0.9109 0.0000
Pm: 0.3343 0.5844 0.0000
Pm: 0.4986 0.7486 0.5000
Pm: 0.5014 0.2514 0.5000
Pm: 0.6657 0.4156 0.0000
Pm: 0.6708 0.0891 0.0000
Pm: 0.8292 0.5891 0.5000
Pm: 0.8343 0.9156 0.5000
Pm: 0.9986 0.7514 0.0000
Ga: 0.0000 0.0000 0.0000
Ga: 0.1659 0.7768 0.5000
Ga: 0.3341 0.2768 0.0000
Ga: 0.5000 0.5000 0.5000
Ga: 0.6659 0.7232 0.0000
Ga: 0.8341 0.2232 0.5000
Au: 0.0000 0.5000 0.0000
Au: 0.5000 0.0000 0.5000

[7]
# Pm4GaAu3
Computed PXRD pattern, a wavelength of 1.5418 Å. Input: a structure optimized by DFT (GGA-PBE).

Top 6 peaks for 2θ from 10° to 90°, in order of falling intensity:
- 2θ 31.0, I = 1000
- 2θ 38.4, I = 805
- 2θ 38.1, I = 358
- 2θ 36.9, I = 315
- 2θ 31.4, I = 300
- 2θ 69.0, I = 224

Atomic structure:
Lattice parameters (Å, degrees): 3.8554 4.7245 11.3799 90.00 90.00 90.00
Sites, in units of the cell vectors:
Pm: 0.0000 0.0000 0.0000
Pm: 0.0000 0.5000 0.2785
Pm: 0.5000 0.0000 0.4999
Pm: 0.5000 0.5000 0.7821
Ga: 0.0000 0.0000 0.7225
Au: 0.0000 0.5000 0.5583
Au: 0.5000 0.0000 0.2259
Au: 0.5000 0.5000 0.0569

[8]
# Pm4Ga16Au3
Computed PXRD pattern, a wavelength of 1.5418 Å. Input: a structure optimized by DFT (GGA-PBE).

Top 6 peaks for 2θ from 10° to 90°, in order of falling intensity:
- 2θ 36.9, I = 1000
- 2θ 39.8, I = 867
- 2θ 30.9, I = 682
- 2θ 42.7, I = 360
- 2θ 21.1, I = 329
- 2θ 51.2, I = 283

Atomic structure:
Lattice parameters (Å, degrees): 6.4097 6.4097 11.2647 90.00 90.00 90.00
Sites, in units of the cell vectors:
Pm: 0.0000 0.5000 0.1886
Pm: 0.0000 0.5000 0.8114
Pm: 0.5000 0.0000 0.1886
Pm: 0.5000 0.0000 0.8114
Ga: 0.0000 0.0000 0.2023
Ga: 0.0000 0.0000 0.7977
Ga: 0.2052 0.2052 0.0000
Ga: 0.2052 0.7948 0.0000
Ga: 0.2412 0.2412 0.3737
Ga: 0.2412 0.2412 0.6263
Ga: 0.2412 0.7588 0.3737
Ga: 0.2412 0.7588 0.6263
Ga: 0.5000 0.5000 0.2402
Ga: 0.5000 0.5000 0.7598
Ga: 0.7588 0.2412 0.3737
Ga: 0.7588 0.2412 0.6263
Ga: 0.7588 0.7588 0.3737
Ga: 0.7588 0.7588 0.6263
Ga: 0.7948 0.2052 0.0000
Ga: 0.7948 0.7948 0.0000
Au: 0.0000 0.5000 0.5000
Au: 0.5000 0.0000 0.5000
Au: 0.5000 0.5000 0.0000

[9]
# Pm4Ga2Au
Computed PXRD pattern, a wavelength of 1.5418 Å. Input: a structure optimized by DFT (GGA-PBE).

Top 6 peaks for 2θ from 10° to 90°, in order of falling intensity:
- 2θ 34.6, I = 1000
- 2θ 35.0, I = 960
- 2θ 62.3, I = 360
- 2θ 50.0, I = 348
- 2θ 62.0, I = 184
- 2θ 10.6, I = 171

Atomic structure:
Lattice parameters (Å, degrees): 8.8578 8.8578 8.8578 34.02 34.02 34.02
Sites, in units of the cell vectors:
Pm: 0.1216 0.1216 0.1216
Pm: 0.3732 0.3732 0.3732
Pm: 0.6268 0.6268 0.6268
Pm: 0.8784 0.8784 0.8784
Ga: 0.2519 0.2519 0.2519
Ga: 0.7481 0.7481 0.7481
Au: 0.5000 0.5000 0.5000

[10]
# Pm3Ga2Au9
Computed PXRD pattern, a wavelength of 1.5418 Å. Input: a structure optimized by DFT (GGA-PBE).

Top 6 peaks for 2θ from 10° to 90°, in order of falling intensity:
- 2θ 34.2, I = 1000
- 2θ 33.5, I = 714
- 2θ 38.4, I = 603
- 2θ 32.7, I = 466
- 2θ 43.8, I = 406
- 2θ 65.7, I = 335

Atomic structure:
Lattice parameters (Å, degrees): 8.5492 8.5492 8.5492 148.20 112.57 76.49
Sites, in units of the cell vectors:
Pm: 0.0000 0.0000 0.0000
Pm: 0.2849 0.2849 0.0000
Pm: 0.7151 0.7151 0.0000
Ga: 0.3342 0.5000 0.8342
Ga: 0.6658 0.5000 0.1658
Au: 0.0010 0.3590 0.6421
Au: 0.1475 0.8530 0.2946
Au: 0.2831 0.6410 0.6421
Au: 0.4416 0.1470 0.2946
Au: 0.5000 0.0000 0.5000
Au: 0.5584 0.8530 0.7054
Au: 0.7169 0.3590 0.3579
Au: 0.8525 0.1470 0.7054
Au: 0.9990 0.6410 0.3579

[11]
# Pm3GaAu3
Computed PXRD pattern, a wavelength of 1.5418 Å. Input: a structure optimized by DFT (GGA-PBE).

Top 6 peaks for 2θ from 10° to 90°, in order of falling intensity:
- 2θ 31.1, I = 1000
- 2θ 38.4, I = 845
- 2θ 42.3, I = 504
- 2θ 32.7, I = 462
- 2θ 30.8, I = 414
- 2θ 36.1, I = 404

Atomic structure:
Lattice parameters (Å, degrees): 5.8877 5.8877 15.5350 107.54 107.54 42.58
Sites, in units of the cell vectors:
Pm: 0.0293 0.0293 0.3898
Pm: 0.1007 0.1007 0.9203
Pm: 0.2451 0.2451 0.2328
Pm: 0.7549 0.7549 0.7672
Pm: 0.8993 0.8993 0.0797
Pm: 0.9707 0.9707 0.6102
Ga: 0.2650 0.2650 0.6124
Ga: 0.7350 0.7350 0.3876
Au: 0.3610 0.3610 0.4559
Au: 0.3779 0.3779 0.9229
Au: 0.4769 0.4769 0.7671
Au: 0.5231 0.5231 0.2329
Au: 0.6221 0.6221 0.0771
Au: 0.6390 0.6390 0.5441

[12]
# PmGa2Au7
Computed PXRD pattern, a wavelength of 1.5418 Å. Input: a structure optimized by DFT (GGA-PBE).

Top 6 peaks for 2θ from 10° to 90°, in order of falling intensity:
- 2θ 36.7, I = 1000
- 2θ 41.6, I = 909
- 2θ 41.2, I = 900
- 2θ 37.6, I = 826
- 2θ 33.5, I = 809
- 2θ 53.5, I = 684

Atomic structure:
Lattice parameters (Å, degrees): 7.4640 7.4640 4.7886 90.00 90.00 119.42
Sites, in units of the cell vectors:
Pm: 0.0000 0.0000 0.0000
Ga: 0.2986 0.7014 0.5000
Ga: 0.7014 0.2986 0.5000
Au: 0.0693 0.3018 0.5000
Au: 0.2283 0.7717 0.0000
Au: 0.3018 0.0693 0.5000
Au: 0.5000 0.5000 0.5000
Au: 0.6982 0.9307 0.5000
Au: 0.7717 0.2283 0.0000
Au: 0.9307 0.6982 0.5000